# 1
The following is a theoretical X-ray diffraction stick pattern of MgSi2. It was derived from a cell relaxed with PBE, using Cu Kα (λ = 1.5418 Å).
Lines closer than 0.1° are merged.

Principal peaks in the range 5 to 70 degrees two-theta, in order of rising 2θ:
| hkl | Position (°2θ) | I/Imax |
| --- | --- | --- |
| 1 -1 0 | 30.35 | 97.0 |
| 1 0 3 | 32.43 | 77.8 |
| 0 2 -1 | 34.96 | 92.3 |
| 0 1 -4 | 35.70 | 87.4 |
| 1 2 1 | 40.60 | 100.0 |
| 1 -2 0 | 43.11 | 92.9 |
| -1 1 4 | 43.69 | 96.8 |
| 2 0 0 | 49.53 | 64.8 |

Atomic structure:
```
MgSi2
1.0
3.695 0.000 0.000
0.349 5.340 0.000
0.680 0.701 11.779
Mg Si
4 8
Direct
0.000 0.000 0.000
0.101 0.531 0.823
0.453 0.190 0.214
0.580 0.827 0.587
0.010 0.479 0.059
0.049 0.092 0.724
0.139 0.417 0.580
0.479 0.693 0.136
0.487 0.690 0.340
0.546 0.926 0.826
0.673 0.325 0.462
0.945 0.959 0.370
```

***

# 2
The following is a theoretical X-ray diffraction stick pattern of ZnH12C2N6Cl4. It was derived from a cell relaxed with PBE, using Cu Kα (λ = 1.5418 Å).
Lines closer than 0.1° are merged.

Principal peaks in the range 5 to 70 degrees two-theta, in order of rising 2θ:
| hkl | Position (°2θ) | I/Imax |
| --- | --- | --- |
| 1 0 0 | 12.58 | 59.3 |
| 0 0 2 | 13.97 | 43.8 |
| 0 1 -1 | 14.97 | 52.2 |
| 1 0 -2 | 19.19 | 34.5 |
| 1 1 2 | 19.59 | 56.7 |
| -1 1 1 | 20.41 | 44.3 |
| 0 2 0 | 24.92 | 63.5 |
| 1 0 4 | 30.49 | 100.0 |

Atomic structure:
```
ZnH12C2N6Cl4
1.0
7.228 0.000 0.000
1.680 7.208 0.000
0.849 1.597 12.678
Zn H C N Cl
2 24 4 12 8
Direct
0.043 0.325 0.276
0.957 0.675 0.724
0.150 0.665 0.437
0.158 0.900 0.441
0.236 0.669 0.893
0.244 0.541 0.020
0.246 0.985 0.873
0.262 0.093 0.986
0.273 0.689 0.166
0.287 0.927 0.147
0.373 0.152 0.671
0.386 0.459 0.676
0.407 0.461 0.371
0.431 0.006 0.379
0.569 0.994 0.621
0.593 0.539 0.629
0.614 0.541 0.324
0.627 0.848 0.329
0.713 0.073 0.853
0.727 0.311 0.834
0.738 0.907 0.014
0.754 0.015 0.127
0.756 0.459 0.980
0.764 0.331 0.107
0.842 0.100 0.559
0.850 0.335 0.563
0.257 0.816 0.014
0.397 0.738 0.381
0.603 0.262 0.619
0.743 0.184 0.986
0.221 0.770 0.423
0.244 0.663 0.972
0.255 0.978 0.953
0.275 0.809 0.117
0.479 0.566 0.356
0.492 0.875 0.361
0.508 0.125 0.639
0.521 0.434 0.644
0.725 0.191 0.883
0.745 0.022 0.047
0.756 0.337 0.028
0.779 0.230 0.577
0.111 0.371 0.769
0.178 0.855 0.712
0.186 0.275 0.435
0.278 0.261 0.146
0.722 0.739 0.854
0.814 0.725 0.565
0.822 0.145 0.288
0.889 0.629 0.231
```

***

# 3
The following is a theoretical X-ray diffraction stick pattern of ZrPt. It was derived from a cell relaxed with PBE, using Cu Kα (λ = 1.5418 Å).
Lines closer than 0.1° are merged.

Principal peaks in the range 5 to 70 degrees two-theta, in order of rising 2θ:
| hkl | Position (°2θ) | I/Imax |
| --- | --- | --- |
| 1 0 0 | 26.53 | 14.6 |
| 1 1 0 | 37.87 | 100.0 |
| 1 1 1 | 46.83 | 4.6 |
| 2 0 0 | 54.63 | 17.4 |
| 2 1 0 | 61.73 | 6.3 |
| 2 1 1 | 68.39 | 35.2 |

Atomic structure:
```
ZrPt
1.0
3.360 0.000 0.000
0.000 3.360 0.000
0.000 0.000 3.360
Zr Pt
1 1
Direct
0.000 0.000 0.000
0.500 0.500 0.500
```